Starting from a structure optimized by DFT (PBE+U), the X-ray diffraction stick pattern of Nd2MnHgO5 was simulated for Cu Kα X-rays.
Intensities are scaled so that the largest is 100.

Top 10 peaks for 10 to 90 degrees two-theta, by angle:
(hkl), d [Å], Position (°2θ), I_rel
1 1 1, 3.706, 24.01, 32
2 0 1, 2.949, 30.31, 100
0 0 2, 2.858, 31.30, 32
2 1 1, 2.711, 33.05, 38
2 2 0, 2.434, 36.93, 25
3 1 0, 2.177, 41.48, 25
2 1 2, 2.095, 43.19, 27
2 2 2, 1.853, 49.17, 22
3 1 2, 1.732, 52.86, 16
2 0 3, 1.668, 55.06, 25

Structural model:
abc: 6.8847 6.8847 5.7163
angles: 90.00 90.00 90.00
Fractional positions:
Nd 0.1780 0.3220 0.0000
Nd 0.3220 0.8220 0.0000
Nd 0.6780 0.1780 0.0000
Nd 0.8220 0.6780 0.0000
Mn 0.0000 0.5000 0.5000
Mn 0.5000 0.0000 0.5000
Hg 0.0000 0.0000 0.5000
Hg 0.5000 0.5000 0.5000
O 0.0000 0.0000 0.0000
O 0.1302 0.6302 0.2514
O 0.1302 0.6302 0.7486
O 0.3698 0.1302 0.2514
O 0.3698 0.1302 0.7486
O 0.5000 0.5000 0.0000
O 0.6302 0.8698 0.2514
O 0.6302 0.8698 0.7486
O 0.8698 0.3698 0.2514
O 0.8698 0.3698 0.7486